The following is a calculated powder XRD pattern of MgSi2. It was derived from a crystal structure in the Materials Project, relaxed with GGA-PBE, using λ = 1.5418 Å (Cu Kα).

Cell and atoms:
```
data_MgSi2
_chemical_formula_sum 'Mg4 Si8'
_cell_length_a 4.542
_cell_length_b 5.258
_cell_length_c 9.577
_cell_angle_alpha 94.28
_cell_angle_beta 90.10
_cell_angle_gamma 115.47
_space_group_name_H-M_alt 'P -1'
_space_group_IT_number 2
loop_
_space_group_symop_operation_xyz
'x,y,z'
'-x,-y,-z'
loop_
_atom_site_label
_atom_site_type_symbol
_atom_site_fract_x
_atom_site_fract_y
_atom_site_fract_z
Mg1 Mg 0.104 0.216 0.397
Mg2 Mg 0.244 0.490 0.113
Si1 Si 0.064 0.123 0.874
Si2 Si 0.222 0.437 0.685
Si3 Si 0.401 0.805 0.402
Si4 Si 0.464 0.923 0.802
```

Most intense lines, 2θ from 10° to 80°, low angle first:
35.1 deg, rel. 30, (1 -1 3)
37.7 deg, rel. 22, (0 0 4)
38.4 deg, rel. 51, (1 1 -2)
39.7 deg, rel. 61, (2 -1 0)
40.8 deg, rel. 100, (1 1 2)
72.7 deg, rel. 17, (3 0 2)